No. 1
The following is a theoretical powder X-ray diffraction pattern of K3Y2TiSe6. It was derived from a GGA-PBE-relaxed structure, using Cu Kα (weighted mean of Kα1 and Kα2).
Lines closer than 0.1° are merged.

Top 12 peaks for 2θ from 5° to 70°, most intense first:
2θ (°)  Rel. int.
29.5  1000
44.1  341
11.6  316
40.4  301
54.0  163
37.3  154
50.7  103
61.3  80
45.7  61
66.8  45
59.1  38
69.4  37

Crystal structure
abc: 7.116 7.116 8.021
angles: 98.53 98.53 120.02
Atoms (fractional coordinates):
K (0.000, 0.000, 0.000)
K (0.329, 0.671, 0.000)
K (0.671, 0.329, 0.000)
Y (0.166, 0.834, 0.500)
Y (0.834, 0.166, 0.500)
Ti (0.500, 0.500, 0.500)
Se (0.119, 0.433, 0.300)
Se (0.253, 0.253, 0.701)
Se (0.433, 0.119, 0.300)
Se (0.567, 0.881, 0.700)
Se (0.747, 0.747, 0.299)
Se (0.881, 0.567, 0.700)

=====

No. 2
The following is a theoretical powder X-ray diffraction pattern of KTl2Se3. It was derived from a GGA-PBE-relaxed structure, using Cu Kα (weighted mean of Kα1 and Kα2).
Lines closer than 0.1° are merged.

Top 12 peaks for 2θ from 5° to 70°, most intense first:
2θ (°)  Rel. int.
20.7  1000
25.2  909
35.8  830
17.2  770
44.2  684
24.3  634
12.0  554
32.8  445
20.3  416
43.8  401
23.9  381
36.5  375

Crystal structure
abc: 8.579 8.579 7.081
angles: 90.00 90.00 61.37
Atoms (fractional coordinates):
K (0.173, 0.827, 0.500)
K (0.827, 0.173, 0.000)
Tl (0.172, 0.495, 0.959)
Tl (0.495, 0.172, 0.459)
Tl (0.505, 0.828, 0.959)
Tl (0.828, 0.505, 0.459)
Se (0.166, 0.447, 0.565)
Se (0.208, 0.792, 0.018)
Se (0.447, 0.166, 0.065)
Se (0.553, 0.834, 0.565)
Se (0.792, 0.208, 0.518)
Se (0.834, 0.553, 0.065)

=====

No. 3
The following is a theoretical powder X-ray diffraction pattern of K3TlSe2. It was derived from a GGA-PBE-relaxed structure, using Cu Kα (weighted mean of Kα1 and Kα2).
Lines closer than 0.1° are merged.

Top 12 peaks for 2θ from 5° to 70°, most intense first:
2θ (°)  Rel. int.
30.7  1000
32.2  967
12.5  797
19.6  757
26.0  698
34.2  492
11.3  456
22.7  427
25.4  389
41.7  357
20.4  345
57.5  343

Crystal structure
abc: 9.616 9.616 9.616
angles: 131.46 70.75 131.88
Atoms (fractional coordinates):
K (0.012, 0.750, 0.262)
K (0.250, 0.250, 0.000)
K (0.488, 0.750, 0.738)
K (0.512, 0.250, 0.262)
K (0.750, 0.750, 0.000)
K (0.988, 0.250, 0.738)
Tl (0.000, 0.500, 0.500)
Tl (0.500, 0.000, 0.500)
Se (0.135, 0.221, 0.356)
Se (0.365, 0.721, 0.087)
Se (0.635, 0.279, 0.913)
Se (0.865, 0.779, 0.644)

=====

No. 4
The following is a theoretical powder X-ray diffraction pattern of KU3Tl2Se8. It was derived from a GGA-PBE-relaxed structure, using Cu Kα (weighted mean of Kα1 and Kα2).
Lines closer than 0.1° are merged.

Top 12 peaks for 2θ from 5° to 70°, most intense first:
2θ (°)  Rel. int.
28.5  1000
23.8  822
42.7  707
38.8  653
11.1  619
35.9  531
12.6  520
22.2  388
24.5  340
48.6  336
37.5  329
38.5  262

Crystal structure
abc: 9.356 9.356 9.356
angles: 53.87 53.87 53.87
Atoms (fractional coordinates):
K (0.000, 0.000, 0.000)
U (0.365, 0.365, 0.864)
U (0.365, 0.864, 0.365)
U (0.864, 0.365, 0.365)
Tl (0.361, 0.361, 0.361)
Tl (0.738, 0.738, 0.738)
Se (0.109, 0.109, 0.564)
Se (0.109, 0.564, 0.109)
Se (0.135, 0.135, 0.135)
Se (0.164, 0.619, 0.619)
Se (0.564, 0.109, 0.109)
Se (0.594, 0.594, 0.594)
Se (0.619, 0.164, 0.619)
Se (0.619, 0.619, 0.164)

=====

No. 5
The following is a theoretical powder X-ray diffraction pattern of KTm5Se8. It was derived from a GGA-PBE-relaxed structure, using Cu Kα (weighted mean of Kα1 and Kα2).
Lines closer than 0.1° are merged.

Top 12 peaks for 2θ from 5° to 70°, most intense first:
2θ (°)  Rel. int.
9.2  1000
28.3  951
44.7  785
35.4  664
8.7  591
10.9  550
25.5  544
44.3  485
33.6  393
33.2  322
28.1  320
40.6  317

Crystal structure
abc: 10.712 10.712 9.946
angles: 104.54 104.54 21.99
Atoms (fractional coordinates):
K (0.000, 0.000, 0.000)
Tm (0.154, 0.154, 0.450)
Tm (0.203, 0.203, 0.841)
Tm (0.500, 0.500, 0.499)
Tm (0.796, 0.796, 0.157)
Tm (0.845, 0.845, 0.548)
Se (0.078, 0.078, 0.649)
Se (0.269, 0.269, 0.353)
Se (0.332, 0.332, 0.005)
Se (0.421, 0.421, 0.696)
Se (0.578, 0.578, 0.303)
Se (0.667, 0.667, 0.993)
Se (0.730, 0.730, 0.645)
Se (0.921, 0.921, 0.350)

=====

No. 6
The following is a theoretical powder X-ray diffraction pattern of K4Y3TmSe8. It was derived from a GGA-PBE-relaxed structure, using Cu Kα (weighted mean of Kα1 and Kα2).
Lines closer than 0.1° are merged.

Top 12 peaks for 2θ from 5° to 70°, most intense first:
2θ (°)  Rel. int.
29.0  1000
11.5  404
43.0  356
39.9  328
52.7  179
36.8  164
50.3  111
65.9  95
60.1  94
44.7  90
57.9  54
68.3  48

Crystal structure
abc: 9.086 9.086 9.086
angles: 55.12 55.12 55.12
Atoms (fractional coordinates):
K (0.000, 0.000, 0.000)
K (0.000, 0.500, 0.500)
K (0.500, 0.000, 0.500)
K (0.500, 0.500, 0.000)
Y (0.000, 0.000, 0.500)
Y (0.000, 0.500, 0.000)
Y (0.500, 0.000, 0.000)
Tm (0.500, 0.500, 0.500)
Se (0.235, 0.235, 0.235)
Se (0.238, 0.733, 0.733)
Se (0.267, 0.267, 0.762)
Se (0.267, 0.762, 0.267)
Se (0.733, 0.238, 0.733)
Se (0.733, 0.733, 0.238)
Se (0.762, 0.267, 0.267)
Se (0.765, 0.765, 0.765)

=====

No. 7
The following is a theoretical powder X-ray diffraction pattern of KYTm4Se8. It was derived from a GGA-PBE-relaxed structure, using Cu Kα (weighted mean of Kα1 and Kα2).
Lines closer than 0.1° are merged.

Top 12 peaks for 2θ from 5° to 70°, most intense first:
2θ (°)  Rel. int.
29.7  1000
24.6  964
42.4  721
42.7  719
38.9  501
12.7  295
38.8  283
12.8  258
24.4  242
14.7  233
20.8  225
61.7  215

Crystal structure
abc: 8.534 8.534 8.534
angles: 59.57 59.57 59.57
Atoms (fractional coordinates):
K (0.000, 0.000, 0.000)
Y (0.368, 0.368, 0.368)
Tm (0.368, 0.368, 0.887)
Tm (0.368, 0.887, 0.368)
Tm (0.747, 0.747, 0.747)
Tm (0.887, 0.368, 0.368)
Se (0.136, 0.136, 0.577)
Se (0.136, 0.577, 0.136)
Se (0.139, 0.139, 0.139)
Se (0.145, 0.617, 0.617)
Se (0.577, 0.136, 0.136)
Se (0.615, 0.615, 0.615)
Se (0.617, 0.145, 0.617)
Se (0.617, 0.617, 0.145)

=====

No. 8
The following is a theoretical powder X-ray diffraction pattern of KUSe4. It was derived from a GGA-PBE-relaxed structure, using Cu Kα (weighted mean of Kα1 and Kα2).
Lines closer than 0.1° are merged.

Top 12 peaks for 2θ from 5° to 70°, most intense first:
2θ (°)  Rel. int.
10.6  1000
29.4  642
33.6  373
35.7  330
45.5  293
22.6  195
38.2  194
43.5  168
46.9  165
63.1  139
19.9  138
30.3  112

Crystal structure
abc: 6.300 6.300 8.329
angles: 90.00 90.00 90.00
Atoms (fractional coordinates):
K (0.250, 0.250, 0.000)
K (0.750, 0.750, 0.000)
U (0.250, 0.250, 0.500)
U (0.750, 0.750, 0.500)
Se (0.103, 0.603, 0.300)
Se (0.103, 0.897, 0.700)
Se (0.397, 0.603, 0.700)
Se (0.397, 0.897, 0.300)
Se (0.603, 0.103, 0.700)
Se (0.603, 0.397, 0.300)
Se (0.897, 0.103, 0.300)
Se (0.897, 0.397, 0.700)

=====

No. 9
The following is a theoretical powder X-ray diffraction pattern of KU2Se3. It was derived from a GGA-PBE-relaxed structure, using Cu Kα (weighted mean of Kα1 and Kα2).
Lines closer than 0.1° are merged.

Top 12 peaks for 2θ from 5° to 70°, most intense first:
2θ (°)  Rel. int.
27.5  1000
28.8  963
33.7  658
12.1  650
42.6  625
32.6  498
8.2  463
44.6  390
45.3  307
26.1  250
68.3  220
36.6  214

Crystal structure
abc: 7.518 4.006 11.063
angles: 90.00 103.32 90.00
Atoms (fractional coordinates):
K (0.019, 0.250, 0.341)
K (0.981, 0.750, 0.659)
U (0.253, 0.250, 0.996)
U (0.498, 0.750, 0.318)
U (0.502, 0.250, 0.682)
U (0.747, 0.750, 0.004)
Se (0.132, 0.750, 0.148)
Se (0.297, 0.750, 0.513)
Se (0.382, 0.750, 0.843)
Se (0.618, 0.250, 0.157)
Se (0.703, 0.250, 0.487)
Se (0.868, 0.250, 0.852)

=====

No. 10
The following is a theoretical powder X-ray diffraction pattern of K3U4Se12. It was derived from a GGA-PBE-relaxed structure, using Cu Kα (weighted mean of Kα1 and Kα2).
Lines closer than 0.1° are merged.

Top 12 peaks for 2θ from 5° to 70°, most intense first:
2θ (°)  Rel. int.
16.4  1000
33.1  588
37.1  551
47.5  403
23.2  378
50.5  282
40.8  207
59.1  133
64.3  111
61.7  110
53.5  84
69.4  59

Crystal structure
abc: 9.384 9.384 9.384
angles: 109.47 109.47 109.47
Atoms (fractional coordinates):
K (0.000, 0.500, 0.500)
K (0.500, 0.000, 0.500)
K (0.500, 0.500, 0.000)
U (0.000, 0.000, 0.500)
U (0.000, 0.500, 0.000)
U (0.500, 0.000, 0.000)
U (0.500, 0.500, 0.500)
Se (0.032, 0.267, 0.765)
Se (0.235, 0.501, 0.267)
Se (0.235, 0.968, 0.733)
Se (0.267, 0.235, 0.501)
Se (0.267, 0.765, 0.032)
Se (0.499, 0.733, 0.765)
Se (0.501, 0.267, 0.235)
Se (0.733, 0.235, 0.968)
Se (0.733, 0.765, 0.499)
Se (0.765, 0.032, 0.267)
Se (0.765, 0.499, 0.733)
Se (0.968, 0.733, 0.235)

=====

No. 11
The following is a theoretical powder X-ray diffraction pattern of K3U2Se9. It was derived from a GGA-PBE-relaxed structure, using Cu Kα (weighted mean of Kα1 and Kα2).
Lines closer than 0.1° are merged.

Top 12 peaks for 2θ from 5° to 70°, most intense first:
2θ (°)  Rel. int.
12.2  1000
30.5  142
30.2  124
35.8  101
30.8  97
39.4  96
35.0  89
43.1  87
32.6  81
21.2  71
27.6  67
45.0  66

Crystal structure
abc: 9.709 9.709 9.814
angles: 95.72 95.72 97.37
Atoms (fractional coordinates):
K (0.020, 0.980, 0.500)
K (0.192, 0.495, 0.363)
K (0.495, 0.192, 0.863)
K (0.531, 0.672, 0.804)
K (0.672, 0.531, 0.304)
K (0.980, 0.020, 0.000)
U (0.126, 0.644, 0.970)
U (0.389, 0.895, 0.192)
U (0.644, 0.126, 0.470)
U (0.895, 0.389, 0.692)
Se (0.015, 0.357, 0.968)
Se (0.101, 0.791, 0.215)
Se (0.168, 0.256, 0.745)
Se (0.197, 0.495, 0.709)
Se (0.256, 0.168, 0.245)
Se (0.271, 0.889, 0.909)
Se (0.357, 0.015, 0.468)
Se (0.380, 0.603, 0.103)
Se (0.495, 0.197, 0.209)
Se (0.499, 0.829, 0.498)
Se (0.603, 0.380, 0.603)
Se (0.648, 0.944, 0.037)
Se (0.681, 0.890, 0.269)
Se (0.791, 0.101, 0.715)
Se (0.829, 0.499, 0.998)
Se (0.889, 0.271, 0.409)
Se (0.890, 0.681, 0.769)
Se (0.944, 0.648, 0.537)

=====

No. 12
The following is a theoretical powder X-ray diffraction pattern of KUVSe4. It was derived from a GGA-PBE-relaxed structure, using Cu Kα (weighted mean of Kα1 and Kα2).
Lines closer than 0.1° are merged.

Top 12 peaks for 2θ from 5° to 70°, most intense first:
2θ (°)  Rel. int.
13.7  1000
29.1  703
45.7  488
27.9  396
23.8  395
34.4  340
39.2  339
33.9  249
41.9  192
37.6  182
21.5  179
46.5  175

Crystal structure
abc: 8.071 8.071 8.071
angles: 118.49 110.85 99.61
Atoms (fractional coordinates):
K (0.430, 0.180, 0.250)
K (0.570, 0.820, 0.750)
U (0.000, 0.500, 0.500)
U (0.500, 0.500, 0.000)
V (0.000, 0.000, 0.500)
V (0.000, 0.500, 0.000)
Se (0.168, 0.239, 0.928)
Se (0.189, 0.761, 0.428)
Se (0.250, 0.290, 0.540)
Se (0.250, 0.710, 0.960)
Se (0.750, 0.290, 0.040)
Se (0.750, 0.710, 0.460)
Se (0.811, 0.239, 0.572)
Se (0.832, 0.761, 0.072)